Diffraction record for MgFe3P3O12. The X-ray powder pattern is theoretical, not measured: it uses the GGA+U geometry in the Materials Project and Cu Kα, 1.54184 Å.

a b c (Å): 5.3796 5.5947 11.2838
angles (deg): 89.89 89.86 62.27
Space group P1 (No. 1)
Symmetry-distinct sites (fractional):
Mg1 0.0000 0.0000 0.0000 x1
Fe1 0.0038 0.5212 0.3382 x1
Fe2 0.4689 0.0019 0.6656 x1
Fe3 0.5058 0.5050 0.0036 x1
P1 0.4907 0.0124 0.1651 x1
P2 0.5046 0.4839 0.4989 x1
P3 0.9771 0.5259 0.8460 x1
O1 0.1324 0.6435 0.9302 x1
O2 0.1777 0.3322 0.7570 x1
O3 0.2433 0.2378 0.2293 x1
O4 0.2608 0.6158 0.4043 x1
O5 0.3635 0.8673 0.0848 x1
O6 0.4481 0.6852 0.5983 x1
O7 0.5281 0.2132 0.5379 x1
O8 0.6303 0.1380 0.0793 x1
O9 0.7111 0.7724 0.8063 x1
O10 0.7267 0.8052 0.2409 x1
O11 0.7857 0.4237 0.4326 x1
O12 0.8885 0.3572 0.9358 x1

Most intense lines, 5 to 70 degrees two-theta, in order of rising 2θ:
index	2θ/deg	I (rel.)
0 0 1	7.84	14
0 1 0	17.91	13
1 1 0	18.91	12
0 1 2	23.91	77
1 0 2	24.46	76
1 1 -2	24.68	100
2 2 0	38.36	13
1 -1 4	45.35	18



Diffraction record for MgFe3P3O12. The X-ray powder pattern is theoretical, not measured: it uses the GGA+U geometry in the Materials Project and Cu Kα, 1.54184 Å.

a b c (Å): 5.4272 5.4381 11.6983
angles (deg): 89.98 90.00 61.39
Space group P1 (No. 1)
Symmetry-distinct sites (fractional):
Mg1 0.0000 0.0000 0.0000 x1
Fe1 0.9999 0.5003 0.8106 x1
Fe2 0.5003 0.9997 0.1981 x1
Fe3 0.5008 0.4998 0.5080 x1
P1 0.0009 0.4999 0.3324 x1
P2 0.5000 0.0000 0.6847 x1
P3 0.5001 0.5000 0.0047 x1
O1 0.1333 0.2375 0.2564 x1
O2 0.2194 0.5281 0.4083 x1
O3 0.2246 0.5934 0.9344 x1
O4 0.2367 0.1243 0.7611 x1
O5 0.4041 0.7765 0.0741 x1
O6 0.4861 0.7739 0.6092 x1
O7 0.5145 0.2246 0.6084 x1
O8 0.5961 0.2234 0.0741 x1
O9 0.7630 0.8767 0.7614 x1
O10 0.7754 0.4068 0.9344 x1
O11 0.7834 0.4724 0.4092 x1
O12 0.8675 0.7619 0.2561 x1

Most intense lines, 5 to 70 degrees two-theta, in order of rising 2θ:
index	2θ/deg	I (rel.)
1 0 0	18.60	15
0 1 -1	20.10	11
1 0 2	24.08	100
1 1 -2	24.39	91
0 1 -4	36.02	9
0 2 0	37.72	17
2 1 4	45.59	27
2 0 6	61.43	9



Diffraction record for MgFe3PO7. The X-ray powder pattern is theoretical, not measured: it uses the GGA+U geometry in the Materials Project and Cu Kα, 1.54184 Å.

a b c (Å): 5.3961 5.4899 5.4906
angles (deg): 104.82 99.18 99.12
Space group P1 (No. 1)
Symmetry-distinct sites (fractional):
Mg1 0.0000 0.0000 0.0000 x1
Fe1 0.1320 0.5653 0.1935 x1
Fe2 0.1349 0.1908 0.5663 x1
Fe3 0.5234 0.1611 0.1619 x1
P1 0.6633 0.6787 0.6815 x1
O1 0.2648 0.2715 0.9462 x1
O2 0.2647 0.9447 0.2716 x1
O3 0.4550 0.4685 0.4713 x1
O4 0.5343 0.8622 0.8642 x1
O5 0.8441 0.5709 0.8579 x1
O6 0.8448 0.8546 0.5740 x1
O7 0.8904 0.2643 0.2659 x1

Most intense lines, 5 to 70 degrees two-theta, in order of rising 2θ:
index	2θ/deg	I (rel.)
1 0 0	17.06	33
1 -1 1	26.69	100
-1 1 1	28.44	48
0 2 0	34.56	19
1 1 1	36.36	16
1 2 -1	39.82	22
-1 1 2	42.28	19
2 2 -1	51.81	25



Diffraction record for MgFe3PO7. The X-ray powder pattern is theoretical, not measured: it uses the GGA+U geometry in the Materials Project and Cu Kα, 1.54184 Å.

a b c (Å): 5.3919 5.4995 5.5018
angles (deg): 106.25 99.05 98.75
Space group P1 (No. 1)
Symmetry-distinct sites (fractional):
Mg1 0.0000 0.0000 0.0000 x1
Fe1 0.0358 0.6357 0.2759 x1
Fe2 0.0385 0.2757 0.6366 x1
Fe3 0.4419 0.2631 0.2651 x1
P1 0.5383 0.7820 0.7824 x1
O1 0.1791 0.0223 0.3579 x1
O2 0.1786 0.3572 0.0237 x1
O3 0.3552 0.9278 0.9285 x1
O4 0.3584 0.5534 0.5550 x1
O5 0.7218 0.9638 0.6859 x1
O6 0.7237 0.6866 0.9648 x1
O7 0.7976 0.3508 0.3514 x1

Most intense lines, 5 to 70 degrees two-theta, in order of rising 2θ:
index	2θ/deg	I (rel.)
1 0 0	17.02	27
1 -1 1	26.52	100
-1 1 1	28.81	91
0 2 -1	33.63	22
1 1 -2	36.17	25
1 2 -1	39.56	22
1 -1 2	39.66	22
0 0 3	53.20	28



Diffraction record for MgFe3P3O12. The X-ray powder pattern is theoretical, not measured: it uses the GGA+U geometry in the Materials Project and Cu Kα, 1.54184 Å.

a b c (Å): 5.1672 5.3951 11.8444
angles (deg): 89.63 89.83 65.73
Space group P1 (No. 1)
Symmetry-distinct sites (fractional):
Mg1 0.0000 0.0000 0.0000 x1
Fe1 0.0014 0.9982 0.7360 x1
Fe2 0.4993 0.0001 0.4243 x1
Fe3 0.5009 0.4972 0.1244 x1
P1 0.0008 0.9981 0.2386 x1
P2 0.4987 0.4986 0.5843 x1
P3 0.5003 0.0006 0.9297 x1
O1 0.0893 0.7458 0.1592 x1
O2 0.2152 0.1252 0.8641 x1
O3 0.2444 0.6788 0.6544 x1
O4 0.2508 0.9723 0.3129 x1
O5 0.4007 0.3183 0.5068 x1
O6 0.4473 0.7926 0.0075 x1
O7 0.5501 0.2132 0.0044 x1
O8 0.5988 0.6784 0.5060 x1
O9 0.7448 0.0321 0.3115 x1
O10 0.7509 0.3193 0.6559 x1
O11 0.7888 0.8716 0.8664 x1
O12 0.9152 0.2453 0.1549 x1

Most intense lines, 5 to 70 degrees two-theta, in order of rising 2θ:
index	2θ/deg	I (rel.)
0 1 0	18.04	57
1 1 0	20.04	41
0 1 2	23.45	56
0 1 -2	23.58	57
1 0 2	24.14	100
1 1 2	25.03	74
1 1 -2	25.17	73
1 2 -4	45.83	22



Diffraction record for MgFe3P3O12. The X-ray powder pattern is theoretical, not measured: it uses the GGA+U geometry in the Materials Project and Cu Kα, 1.54184 Å.

a b c (Å): 4.9854 5.2400 11.5989
angles (deg): 91.20 90.29 117.53
Space group P1 (No. 1)
Symmetry-distinct sites (fractional):
Mg1 0.0000 0.0000 0.0000 x1
Fe1 0.2221 0.0251 0.7443 x1
Fe2 0.2864 0.5953 0.4265 x1
Fe3 0.6816 0.4421 0.1382 x1
P1 0.1221 0.0095 0.2685 x1
P2 0.2523 0.5604 0.9541 x1
P3 0.7509 0.5162 0.5964 x1
O1 0.0074 0.4003 0.0481 x1
O2 0.0501 0.5118 0.5595 x1
O3 0.1108 0.2843 0.3137 x1
O4 0.1941 0.3069 0.8701 x1
O5 0.2099 0.8103 0.9052 x1
O6 0.2760 0.0762 0.1455 x1
O7 0.3108 0.9268 0.3508 x1
O8 0.5204 0.2117 0.6287 x1
O9 0.5767 0.6809 0.0089 x1
O10 0.6425 0.6182 0.4883 x1
O11 0.7995 0.7644 0.2476 x1
O12 0.8171 0.7309 0.6981 x1

Most intense lines, 5 to 70 degrees two-theta, in order of rising 2θ:
index	2θ/deg	I (rel.)
1 0 0	20.09	33
1 -1 0	20.36	48
0 1 2	24.88	85
1 0 -2	25.13	63
1 -1 2	25.44	100
1 0 2	25.54	37
-1 1 2	25.65	53
0 1 -4	36.08	39



What is the formula in the sixth record?
MgFe3P3O12